The following is a calculated X-ray diffraction stick pattern of LiAl2Zn2. It was derived from DFT lattice parameters and positions (PBE), using Cu Kα.
Intensities are scaled so that the largest is 100.

Atomic structure:
a b c (Å): 4.974 5.300 7.317
angles (deg): 70.32 70.26 62.88
Space group P-1 (No. 2)
Unique sites:
Li (0.149, 0.247, 0.249) x2
Al (0.247, 0.754, 0.955) x2
Al (0.450, 0.749, 0.548) x2
Zn (0.021, 0.754, 0.354) x2
Zn (0.367, 0.260, 0.849) x2

Principal peaks in the range 10 to 80 degrees two-theta, by intensity:
2θ = 20.9°, 4.256 Å, rel. 100, hkl 0 1 1; 2θ = 39.1°, 2.302 Å, rel. 97, hkl 0 2 0; 2θ = 25.7°, 3.462 Å, rel. 69, hkl 0 1 -1; 2θ = 43.4°, 2.084 Å, rel. 67, hkl -1 1 2; 2θ = 41.3°, 2.187 Å, rel. 65, hkl 1 1 -2; 2θ = 41.0°, 2.202 Å, rel. 64, hkl 2 0 1

---

The following is a calculated X-ray diffraction stick pattern of Li5Al2Zn12. It was derived from DFT lattice parameters and positions (PBE), using Cu Kα.
Intensities are scaled so that the largest is 100.

Atomic structure:
a b c (Å): 13.463 6.836 6.437
angles (deg): 90.00 91.20 90.00
Space group C2/m (No. 12)
Unique sites:
Li (0.000, 0.000, 0.000) x2
Li (0.188, 0.500, 0.514) x4
Li (0.244, 0.000, 0.926) x4
Al (0.000, 0.290, 0.500) x4
Zn (0.056, 0.500, 0.174) x4
Zn (0.120, 0.000, 0.595) x4
Zn (0.125, 0.299, 0.847) x8
Zn (0.167, 0.188, 0.247) x8

Principal peaks in the range 10 to 80 degrees two-theta, by intensity:
2θ = 39.9°, 2.258 Å, rel. 100, hkl 4 2 -1; 2θ = 41.0°, 2.202 Å, rel. 99, hkl 2 2 2; 2θ = 42.6°, 2.122 Å, rel. 96, hkl 1 3 -1; 2θ = 26.5°, 3.365 Å, rel. 89, hkl 4 0 0; 2θ = 27.7°, 3.217 Å, rel. 69, hkl 0 0 2; 2θ = 20.2°, 4.405 Å, rel. 61, hkl 1 1 1

---

The following is a calculated X-ray diffraction stick pattern of LiAlZn6. It was derived from DFT lattice parameters and positions (PBE), using Cu Kα.
Intensities are scaled so that the largest is 100.

Atomic structure:
a b c (Å): 4.498 5.784 9.245
angles (deg): 90.00 90.00 90.00
Space group Amm2 (No. 38)
Unique sites:
Li (0.000, 0.000, 0.000) x2
Al (0.500, 0.000, 0.679) x2
Zn (0.000, 0.000, 0.508) x2
Zn (0.000, 0.239, 0.255) x4
Zn (0.500, 0.000, 0.169) x2
Zn (0.500, 0.250, 0.426) x4

Principal peaks in the range 10 to 80 degrees two-theta, by intensity:
2θ = 42.0°, 2.153 Å, rel. 100, hkl 1 2 2; 2θ = 44.0°, 2.056 Å, rel. 42, hkl 1 0 4; 2θ = 40.1°, 2.249 Å, rel. 38, hkl 2 0 0; 2θ = 36.7°, 2.452 Å, rel. 24, hkl 0 2 2; 2θ = 26.9°, 3.315 Å, rel. 19, hkl 1 1 1; 2θ = 74.1°, 1.279 Å, rel. 18, hkl 3 2 2

---

The following is a calculated X-ray diffraction stick pattern of LiAlZn14. It was derived from DFT lattice parameters and positions (PBE), using Cu Kα.
Intensities are scaled so that the largest is 100.

Atomic structure:
a b c (Å): 5.624 5.624 7.653
angles (deg): 90.00 90.00 90.00
Space group P4/mmm (No. 123)
Unique sites:
Li (0.000, 0.000, 0.000) x1
Al (0.500, 0.500, 0.000) x1
Zn (0.000, 0.000, 0.500) x1
Zn (0.000, 0.500, 0.000) x2
Zn (0.000, 0.500, 0.500) x2
Zn (0.247, 0.247, 0.252) x8
Zn (0.500, 0.500, 0.500) x1

Principal peaks in the range 10 to 80 degrees two-theta, by intensity:
2θ = 39.8°, 2.266 Å, rel. 100, hkl 2 0 2; 2θ = 45.6°, 1.988 Å, rel. 33, hkl 2 2 0; 2θ = 68.0°, 1.379 Å, rel. 19, hkl 2 2 4; 2θ = 47.5°, 1.913 Å, rel. 15, hkl 0 0 4; 2θ = 66.5°, 1.406 Å, rel. 10, hkl 4 0 0; 2θ = 11.6°, 7.653 Å, rel. 6, hkl 0 0 1

---

Which formula does entry 2 have?
Li5Al2Zn12

---

Number 4 is which compound?
LiAlZn14

---

Which formula does entry 1 have?
LiAl2Zn2